Record 1
This entry pairs a crystal structure of LaAuN2 with its computed powder diffractogram. Radiation: Cu Kα. Structure: a cell relaxed with GGA-PBE.
Peak positions follow from Bragg's law for the DFT cell and can differ from measured ones.

Top 12 peaks for 2θ from 5° to 70°, sorted by position:
2θ 26.36, intensity 7; 2θ 27.79, intensity 100; 2θ 30.29, intensity 23; 2θ 32.95, intensity 53; 2θ 45.62, intensity 29; 2θ 48.92, intensity 23; 2θ 54.26, intensity 16; 2θ 55.74, intensity 26; 2θ 57.41, intensity 11; 2θ 58.62, intensity 13; 2θ 63.00, intensity 3; 2θ 69.11, intensity 8

Cell and atoms:
```
data_LaAuN2
_chemical_formula_sum 'La3 Au3 N6'
_space_group_name_H-M_alt 'R -3 m'
_space_group_IT_number 166
_space_group_name_Hall '-R 3 2"'
_cell_length_a 3.9774
_cell_length_b 3.9774
_cell_length_c 17.7053
_cell_angle_alpha 90.00
_cell_angle_beta 90.00
_cell_angle_gamma 120.00
loop_
_atom_site_label
_atom_site_fract_x
_atom_site_fract_y
_atom_site_fract_z
_atom_site_occupancy
La1 0.0000 0.0000 0.0000 1
Au1 0.0000 0.0000 0.5000 1
N1 0.0000 0.0000 0.3910 1
```



Record 2
This entry pairs a crystal structure of La6RuAu2N with its computed powder diffractogram. Radiation: Cu Kα. Structure: a cell relaxed with GGA-PBE.
Peak positions follow from Bragg's law for the DFT cell and can differ from measured ones.

Top 12 peaks for 2θ from 5° to 70°, sorted by position:
2θ 27.88, intensity 33; 2θ 28.55, intensity 53; 2θ 28.84, intensity 66; 2θ 29.41, intensity 100; 2θ 30.79, intensity 42; 2θ 30.90, intensity 60; 2θ 31.62, intensity 55; 2θ 32.98, intensity 38; 2θ 34.21, intensity 46; 2θ 34.74, intensity 75; 2θ 37.45, intensity 33; 2θ 38.43, intensity 35

Cell and atoms:
```
data_La6RuAu2N
_chemical_formula_sum 'La12 Ru2 Au4 N2'
_space_group_name_H-M_alt 'P 1 21/c 1'
_space_group_IT_number 14
_cell_length_a 6.9740
_cell_length_b 7.6737
_cell_length_c 12.5727
_cell_angle_alpha 90.00
_cell_angle_beta 123.49
_cell_angle_gamma 90.00
loop_
_space_group_symop_operation_xyz
'x,y,z'
'-x,-y,-z'
'-x,y+1/2,-z+1/2'
'x,-y+1/2,z+1/2'
loop_
_atom_site_label
_atom_site_fract_x
_atom_site_fract_y
_atom_site_fract_z
_atom_site_occupancy
La1 0.1243 0.0261 0.2397 1
La2 0.2239 0.7007 0.0546 1
La3 0.3630 0.1800 0.0572 1
Ru1 0.5000 0.0000 0.5000 1
Au1 0.2920 0.0954 0.7443 1
N1 0.0000 0.0000 0.0000 1
```



Record 3
This entry pairs a crystal structure of NaLaSi2Au5 with its computed powder diffractogram. Radiation: Cu Kα. Structure: a cell relaxed with GGA-PBE.
Peak positions follow from Bragg's law for the DFT cell and can differ from measured ones.

Top 12 peaks for 2θ from 5° to 70°, sorted by position:
2θ 17.54, intensity 15; 2θ 26.43, intensity 36; 2θ 27.25, intensity 12; 2θ 28.67, intensity 43; 2θ 32.59, intensity 100; 2θ 38.91, intensity 49; 2θ 47.66, intensity 30; 2θ 53.23, intensity 34; 2θ 53.69, intensity 14; 2θ 56.21, intensity 17; 2θ 63.15, intensity 13; 2θ 66.50, intensity 26

Cell and atoms:
```
data_NaLaSi2Au5
_chemical_formula_sum 'Na1 La1 Si2 Au5'
_space_group_name_H-M_alt 'P 4/m m m'
_space_group_IT_number 123
_space_group_name_Hall '-P 4 2'
_cell_length_a 4.6287
_cell_length_b 4.6287
_cell_length_c 10.1152
_cell_angle_alpha 90.00
_cell_angle_beta 90.00
_cell_angle_gamma 90.00
loop_
_atom_site_label
_atom_site_fract_x
_atom_site_fract_y
_atom_site_fract_z
_atom_site_occupancy
Na1 0.0000 0.0000 0.0000 1
La1 0.0000 0.0000 0.5000 1
Si1 0.5000 0.5000 0.2649 1
Au1 0.0000 0.5000 0.2042 1
Au2 0.5000 0.5000 0.5000 1
```



Record 4
This entry pairs a crystal structure of La3Nd3Au4 with its computed powder diffractogram. Radiation: Cu Kα. Structure: a cell relaxed with GGA-PBE.
Peak positions follow from Bragg's law for the DFT cell and can differ from measured ones.

Top 12 peaks for 2θ from 5° to 70°, sorted by position:
2θ 14.72, intensity 8; 2θ 22.40, intensity 9; 2θ 30.81, intensity 16; 2θ 32.60, intensity 100; 2θ 33.23, intensity 24; 2θ 33.36, intensity 23; 2θ 42.49, intensity 8; 2θ 44.56, intensity 6; 2θ 45.72, intensity 13; 2θ 57.72, intensity 19; 2θ 63.21, intensity 9; 2θ 63.49, intensity 9

Cell and atoms:
```
data_La3Nd3Au4
_chemical_formula_sum 'La6 Nd6 Au8'
_space_group_name_H-M_alt 'A m m 2'
_space_group_IT_number 38
_cell_length_a 3.9692
_cell_length_b 12.0746
_cell_length_c 11.9956
_cell_angle_alpha 90.00
_cell_angle_beta 90.00
_cell_angle_gamma 90.00
loop_
_space_group_symop_operation_xyz
'x,y,z'
'-x,-y,z'
'-x,y,z'
'x,-y,z'
'x,y+1/2,z+1/2'
'-x,-y+1/2,z+1/2'
'-x,y+1/2,z+1/2'
'x,-y+1/2,z+1/2'
loop_
_atom_site_label
_atom_site_fract_x
_atom_site_fract_y
_atom_site_fract_z
_atom_site_occupancy
La1 0.0000 0.0000 0.0000 1
La2 0.0000 0.1652 0.6607 1
Nd1 0.0000 0.0000 0.3298 1
Nd2 0.5000 0.2495 0.4107 1
Au1 0.5000 0.0000 0.5319 1
Au2 0.5000 0.0000 0.7917 1
Au3 0.5000 0.1284 0.1653 1
```



Record 5
This entry pairs a crystal structure of LaNdAu with its computed powder diffractogram. Radiation: Cu Kα. Structure: a cell relaxed with GGA-PBE.
Peak positions follow from Bragg's law for the DFT cell and can differ from measured ones.

Top 12 peaks for 2θ from 5° to 70°, sorted by position:
2θ 28.14, intensity 80; 2θ 29.93, intensity 83; 2θ 30.12, intensity 46; 2θ 32.36, intensity 100; 2θ 32.70, intensity 34; 2θ 35.84, intensity 72; 2θ 36.61, intensity 33; 2θ 37.43, intensity 46; 2θ 40.79, intensity 51; 2θ 52.17, intensity 24; 2θ 55.41, intensity 44; 2θ 58.95, intensity 32

Cell and atoms:
```
data_LaNdAu
_chemical_formula_sum 'La12 Nd12 Au12'
_space_group_name_H-M_alt 'I m a 2'
_space_group_IT_number 46
_cell_length_a 10.0209
_cell_length_b 14.7271
_cell_length_c 7.4333
_cell_angle_alpha 90.00
_cell_angle_beta 90.00
_cell_angle_gamma 90.00
loop_
_space_group_symop_operation_xyz
'x,y,z'
'-x,-y,z'
'-x+1/2,y,z'
'x+1/2,-y,z'
'x+1/2,y+1/2,z+1/2'
'-x+1/2,-y+1/2,z+1/2'
'-x,y+1/2,z+1/2'
'x,-y+1/2,z+1/2'
loop_
_atom_site_label
_atom_site_fract_x
_atom_site_fract_y
_atom_site_fract_z
_atom_site_occupancy
La1 0.2500 0.0015 0.0000 1
La2 0.2500 0.1978 0.5884 1
La3 0.2500 0.6963 0.0918 1
Nd1 0.0000 0.0000 0.6625 1
Nd2 0.0023 0.6281 0.7364 1
Au1 0.0013 0.1770 0.8533 1
Au2 0.2500 0.0011 0.4174 1
```



Record 6
This entry pairs a crystal structure of La3Nd2Au3 with its computed powder diffractogram. Radiation: Cu Kα. Structure: a cell relaxed with GGA-PBE.
Peak positions follow from Bragg's law for the DFT cell and can differ from measured ones.

Top 12 peaks for 2θ from 5° to 70°, sorted by position:
2θ 7.89, intensity 4; 2θ 20.15, intensity 6; 2θ 31.95, intensity 17; 2θ 32.81, intensity 100; 2θ 36.65, intensity 3; 2θ 46.46, intensity 12; 2θ 47.68, intensity 10; 2θ 57.48, intensity 9; 2θ 58.57, intensity 21; 2θ 59.10, intensity 8; 2θ 65.52, intensity 4; 2θ 68.78, intensity 10

Cell and atoms:
```
data_La3Nd2Au3
_chemical_formula_sum 'La6 Nd4 Au6'
_space_group_name_H-M_alt 'I m m m'
_space_group_IT_number 71
_space_group_name_Hall '-I 2 2'
_cell_length_a 3.8141
_cell_length_b 5.4584
_cell_length_c 22.4082
_cell_angle_alpha 90.00
_cell_angle_beta 90.00
_cell_angle_gamma 90.00
loop_
_atom_site_label
_atom_site_fract_x
_atom_site_fract_y
_atom_site_fract_z
_atom_site_occupancy
La1 0.0000 0.0000 0.0000 1
La2 0.0000 0.5000 0.1161 1
Nd1 0.0000 0.0000 0.2293 1
Au1 0.0000 0.0000 0.5000 1
Au2 0.0000 0.5000 0.3800 1
```